No. 1
Starting from DFT lattice parameters and positions (PBE), the powder diffraction line list of HoZn9Ni3 was simulated for Cu Kα, 1.54184 Å.

Cell and atoms:
```
data_HoZn9Ni3
_symmetry_space_group_name_H-M 'C 1 2/m 1'
_symmetry_Int_Tables_number 12
_cell_length_a 5.0134
_cell_length_b 12.3988
_cell_length_c 6.5668
_cell_angle_alpha 90.00
_cell_angle_beta 111.67
_cell_angle_gamma 90.00
loop_
_symmetry_equiv_pos_as_xyz
'x,y,z'
'-x,-y,-z'
'-x,y,-z'
'x,-y,z'
'x+1/2,y+1/2,z'
'-x+1/2,-y+1/2,-z'
'-x+1/2,y+1/2,-z'
'x+1/2,-y+1/2,z'
loop_
_atom_site_label
_atom_site_fract_x
_atom_site_fract_y
_atom_site_fract_z
Ho1 0.0000 0.0000 0.0000
Zn1 0.0000 0.5000 0.5000
Zn2 0.1108 0.3878 0.2161
Zn3 0.1548 0.1753 0.3385
Ni1 0.0000 0.0000 0.5000
Ni2 0.2500 0.2500 0.0000
```

Largest 12 diffraction maxima, low angle first, 10° ≤ 2θ ≤ 90°:
| 2θ (°) | I (rel.) |
| --- | --- |
| 29.00 | 19 |
| 35.62 | 32 |
| 35.83 | 23 |
| 35.93 | 30 |
| 41.28 | 64 |
| 41.41 | 36 |
| 41.54 | 100 |
| 41.77 | 43 |
| 42.02 | 30 |
| 46.60 | 40 |
| 67.99 | 14 |
| 75.41 | 20 |


No. 2
Starting from DFT lattice parameters and positions (PBE), the powder diffraction line list of LaBe4Rh was simulated for Cu Kα, 1.54184 Å.

Cell and atoms:
```
data_LaBe4Rh
_symmetry_space_group_name_H-M 'F -4 3 m'
_symmetry_Int_Tables_number 216
_symmetry_space_group_name_Hall 'F -4 2 3'
_cell_length_a 6.8457
_cell_length_b 6.8457
_cell_length_c 6.8457
_cell_angle_alpha 90.00
_cell_angle_beta 90.00
_cell_angle_gamma 90.00
loop_
_atom_site_label
_atom_site_fract_x
_atom_site_fract_y
_atom_site_fract_z
La1 0.0000 0.0000 0.0000
Be1 0.1187 0.1187 0.3813
Rh1 0.2500 0.2500 0.7500
```

Largest 12 diffraction maxima, low angle first, 10° ≤ 2θ ≤ 90°:
| 2θ (°) | I (rel.) |
| --- | --- |
| 22.50 | 100 |
| 26.03 | 2 |
| 37.15 | 95 |
| 43.86 | 69 |
| 45.92 | 1 |
| 53.55 | 14 |
| 58.80 | 22 |
| 60.48 | 1 |
| 66.97 | 33 |
| 71.63 | 21 |
| 79.14 | 12 |
| 83.55 | 16 |